Record 1
For Rb2NaPbF6, a structure optimized by DFT (PBE) gives the calculated XRD peak list in this record (Cu Kα (weighted mean of Kα1 and Kα2)).
Kinematic intensities with the Lorentz-polarization factor, no thermal factor.

Structural model:
```
10
Lattice="0.0000 4.5636 4.5636 4.5636 0.0000 4.5636 4.5636 4.5636 0.0000" Properties=species:S:1:pos:R:3 pbc="T T T"
Rb 2.2818 2.2818 2.2818
Rb 6.8454 6.8454 6.8454
Na 0.0000 0.0000 0.0000
Pb 4.5636 4.5636 4.5636
F 4.5636 4.5636 2.3030
F 4.5636 2.3030 4.5636
F 6.8242 4.5636 4.5636
F 2.3030 4.5636 4.5636
F 4.5636 6.8242 4.5636
F 4.5636 4.5636 6.8242
```

Peak list (10 most intense, 10 to 90 degrees two-theta, by intensity)
27.64°, I = 100; 16.82°, I = 52; 48.89°, I = 43; 39.49°, I = 40; 32.54°, I = 32; 57.08°, I = 25; 78.41°, I = 23; 64.58°, I = 19; 43.21°, I = 15; 52.07°, I = 12

Record 2
For Na2PdF4, a structure optimized by DFT (PBE) gives the calculated XRD peak list in this record (Cu Kα (weighted mean of Kα1 and Kα2)).
Kinematic intensities with the Lorentz-polarization factor, no thermal factor.

Structural model:
```
14
Lattice="3.4979 0.0000 0.0000 0.0000 5.6681 0.0000 -0.9268 0.0000 10.2046" Properties=species:S:1:pos:R:3 pbc="T T T"
Na 0.6226 0.2467 1.5420
Na 0.1592 2.5874 6.6443
Na 2.4119 3.0807 3.5603
Na 1.9485 5.4215 8.6626
Pd 1.2855 0.0000 5.1023
Pd 1.7489 2.8341 0.0000
F 0.1601 1.0971 9.4504
F 0.6235 1.7370 4.3481
F 0.2408 3.8404 8.5591
F 0.7042 4.6618 3.4568
F 1.8669 1.0063 6.7477
F 2.3303 1.8277 1.6454
F 1.9476 3.9312 5.8565
F 2.4110 4.5710 0.7542
```

Peak list (10 most intense, 10 to 90 degrees two-theta, by intensity)
30.69°, I = 100; 17.90°, I = 53; 17.38°, I = 46; 45.87°, I = 29; 25.57°, I = 27; 29.72°, I = 23; 55.66°, I = 20; 41.94°, I = 18; 38.70°, I = 17; 36.25°, I = 13

Copy entry 1 word for word.
For Rb2NaPbF6, a structure optimized by DFT (PBE) gives the calculated XRD peak list in this record (Cu Kα (weighted mean of Kα1 and Kα2)).
Kinematic intensities with the Lorentz-polarization factor, no thermal factor.

Structural model:
```
10
Lattice="0.0000 4.5636 4.5636 4.5636 0.0000 4.5636 4.5636 4.5636 0.0000" Properties=species:S:1:pos:R:3 pbc="T T T"
Rb 2.2818 2.2818 2.2818
Rb 6.8454 6.8454 6.8454
Na 0.0000 0.0000 0.0000
Pb 4.5636 4.5636 4.5636
F 4.5636 4.5636 2.3030
F 4.5636 2.3030 4.5636
F 6.8242 4.5636 4.5636
F 2.3030 4.5636 4.5636
F 4.5636 6.8242 4.5636
F 4.5636 4.5636 6.8242
```

Peak list (10 most intense, 10 to 90 degrees two-theta, by intensity)
27.64°, I = 100; 16.82°, I = 52; 48.89°, I = 43; 39.49°, I = 40; 32.54°, I = 32; 57.08°, I = 25; 78.41°, I = 23; 64.58°, I = 19; 43.21°, I = 15; 52.07°, I = 12